# ZnInBr2
Theoretical powder diffraction line list, λ = 1.5418 Å (Cu Kα). Input: a structure optimized by DFT (GGA-PBE).
Kinematic intensities with the Lorentz-polarization factor, no thermal factor.

Principal peaks in the range 2θ from 10° to 90°, in order of rising 2θ:
6.277 Å, 2θ 14.1, I 47
3.138 Å, 2θ 28.4, I 87
3.106 Å, 2θ 28.7, I 43
3.077 Å, 2θ 29.0, I 100
3.064 Å, 2θ 29.1, I 99
2.536 Å, 2θ 35.4, I 50
2.514 Å, 2θ 35.7, I 50
2.479 Å, 2θ 36.2, I 57
2.156 Å, 2θ 41.9, I 37
2.020 Å, 2θ 44.9, I 36

Structure:
a = 6.503 Å, b = 6.511 Å, c = 6.742 Å
α = 73.37°, β = 73.38°, γ = 76.75°
Positions (direct):
Zn1 0.000 0.000 0.000
Zn2 0.239 0.236 0.001
In1 0.314 0.755 0.344
In2 0.751 0.322 0.337
Br1 0.152 0.657 0.842
Br2 0.236 0.240 0.391
Br3 0.656 0.177 0.840
Br4 0.805 0.812 0.381


# Cd6Ir
Theoretical powder diffraction line list, λ = 1.5418 Å (Cu Kα). Input: a structure optimized by DFT (GGA-PBE).
Kinematic intensities with the Lorentz-polarization factor, no thermal factor.

Principal peaks in the range 2θ from 10° to 90°, in order of rising 2θ:
5.535 Å, 2θ 16.0, I 27
2.786 Å, 2θ 32.1, I 27
2.517 Å, 2θ 35.7, I 52
2.430 Å, 2θ 37.0, I 27
2.419 Å, 2θ 37.2, I 25
2.402 Å, 2θ 37.4, I 93
2.362 Å, 2θ 38.1, I 42
2.295 Å, 2θ 39.3, I 100
2.216 Å, 2θ 40.7, I 36
1.468 Å, 2θ 63.4, I 21

Structure:
a = 5.577 Å, b = 5.577 Å, c = 9.675 Å
α = 90.00°, β = 90.00°, γ = 82.97°
Positions (direct):
Cd1 0.035 0.583 0.250
Cd2 0.150 0.850 0.588
Cd3 0.150 0.850 0.912
Cd4 0.321 0.321 0.000
Cd5 0.321 0.321 0.500
Cd6 0.417 0.965 0.250
Cd7 0.583 0.035 0.750
Cd8 0.679 0.679 0.000
Cd9 0.679 0.679 0.500
Cd10 0.850 0.150 0.088
Cd11 0.850 0.150 0.412
Cd12 0.965 0.417 0.750
Ir1 0.459 0.541 0.750
Ir2 0.541 0.459 0.250


# Pm2GeH
Theoretical powder diffraction line list, λ = 1.5418 Å (Cu Kα). Input: a structure optimized by DFT (GGA-PBE).
Kinematic intensities with the Lorentz-polarization factor, no thermal factor.

Principal peaks in the range 2θ from 10° to 90°, in order of rising 2θ:
3.488 Å, 2θ 25.5, I 21
3.057 Å, 2θ 29.2, I 100
2.891 Å, 2θ 30.9, I 55
2.855 Å, 2θ 31.3, I 52
2.700 Å, 2θ 33.2, I 35
2.680 Å, 2θ 33.4, I 96
2.669 Å, 2θ 33.6, I 57
2.653 Å, 2θ 33.8, I 34
2.133 Å, 2θ 42.4, I 38
1.709 Å, 2θ 53.6, I 22

Structure:
a = 6.232 Å, b = 7.182 Å, c = 8.533 Å
α = 90.00°, β = 110.72°, γ = 90.00°
Positions (direct):
Pm1 0.001 0.006 0.228
Pm2 0.001 0.494 0.728
Pm3 0.416 0.212 0.607
Pm4 0.416 0.288 0.107
Pm5 0.584 0.712 0.893
Pm6 0.584 0.788 0.393
Pm7 0.999 0.506 0.272
Pm8 0.999 0.994 0.772
Ge1 0.207 0.714 0.052
Ge2 0.207 0.786 0.552
Ge3 0.793 0.214 0.448
Ge4 0.793 0.286 0.948
H1 0.254 0.241 0.816
H2 0.254 0.259 0.316
H3 0.746 0.741 0.684
H4 0.746 0.759 0.184


# Ac2Ga3SnPt4
Theoretical powder diffraction line list, λ = 1.5418 Å (Cu Kα). Input: a structure optimized by DFT (GGA-PBE).
Kinematic intensities with the Lorentz-polarization factor, no thermal factor.

Principal peaks in the range 2θ from 10° to 90°, in order of rising 2θ:
2.786 Å, 2θ 32.1, I 48
2.728 Å, 2θ 32.8, I 100
2.246 Å, 2θ 40.1, I 59
2.041 Å, 2θ 44.4, I 15
1.925 Å, 2θ 47.2, I 25
1.749 Å, 2θ 52.3, I 25
1.588 Å, 2θ 58.1, I 20
1.462 Å, 2θ 63.7, I 21
1.373 Å, 2θ 68.3, I 29
1.146 Å, 2θ 84.6, I 12

Structure:
a = 4.492 Å, b = 4.492 Å, c = 10.654 Å
α = 90.00°, β = 90.00°, γ = 90.00°
Positions (direct):
Ac1 0.000 0.500 0.244
Ac2 0.500 0.000 0.756
Ga1 0.000 0.500 0.879
Ga2 0.500 0.000 0.121
Ga3 0.500 0.500 0.500
Sn1 0.000 0.000 0.500
Pt1 0.000 0.000 0.000
Pt2 0.000 0.500 0.641
Pt3 0.500 0.000 0.359
Pt4 0.500 0.500 0.000


# Ac8Os3RuI4
Theoretical powder diffraction line list, λ = 1.5418 Å (Cu Kα). Input: a structure optimized by DFT (GGA-PBE).
Kinematic intensities with the Lorentz-polarization factor, no thermal factor.

Principal peaks in the range 2θ from 10° to 90°, in order of rising 2θ:
8.533 Å, 2θ 10.4, I 32
3.271 Å, 2θ 27.3, I 100
2.844 Å, 2θ 31.5, I 8
2.637 Å, 2θ 34.0, I 21
2.449 Å, 2θ 36.7, I 24
2.197 Å, 2θ 41.1, I 41
2.126 Å, 2θ 42.5, I 8
1.985 Å, 2θ 45.7, I 13
1.824 Å, 2θ 50.0, I 19
1.403 Å, 2θ 66.7, I 11

Structure:
a = 8.790 Å, b = 8.790 Å, c = 9.936 Å
α = 116.34°, β = 116.34°, γ = 59.95°
Positions (direct):
Ac1 0.227 0.728 0.683
Ac2 0.228 0.228 0.683
Ac3 0.272 0.272 0.317
Ac4 0.272 0.773 0.317
Ac5 0.728 0.227 0.683
Ac6 0.728 0.728 0.683
Ac7 0.772 0.772 0.317
Ac8 0.773 0.272 0.317
Os1 0.000 0.000 0.500
Os2 0.000 0.500 0.500
Os3 0.500 0.000 0.500
Ru1 0.500 0.500 0.500
I1 0.000 0.000 0.000
I2 0.000 0.500 0.000
I3 0.500 0.000 0.000
I4 0.500 0.500 0.000


# Cs4K2CuSi2O8
Theoretical powder diffraction line list, λ = 1.5418 Å (Cu Kα). Input: a structure optimized by DFT (GGA-PBE).
Kinematic intensities with the Lorentz-polarization factor, no thermal factor.

Principal peaks in the range 2θ from 10° to 90°, in order of rising 2θ:
4.766 Å, 2θ 18.6, I 16
3.357 Å, 2θ 26.6, I 29
3.208 Å, 2θ 27.8, I 100
3.091 Å, 2θ 28.9, I 36
2.949 Å, 2θ 30.3, I 21
2.654 Å, 2θ 33.8, I 34
2.274 Å, 2θ 39.6, I 24
2.014 Å, 2θ 45.0, I 20
1.806 Å, 2θ 50.5, I 15
1.620 Å, 2θ 56.8, I 19

Structure:
a = 10.616 Å, b = 10.616 Å, c = 6.182 Å
α = 90.00°, β = 90.00°, γ = 90.00°
Positions (direct):
Cs1 0.114 0.361 0.000
Cs2 0.139 0.614 0.500
Cs3 0.361 0.114 0.000
Cs4 0.386 0.861 0.500
Cs5 0.614 0.139 0.500
Cs6 0.639 0.886 0.000
Cs7 0.861 0.386 0.500
Cs8 0.886 0.639 0.000
K1 0.104 0.896 0.000
K2 0.396 0.396 0.500
K3 0.604 0.604 0.500
K4 0.896 0.104 0.000
Cu1 0.000 0.000 0.500
Cu2 0.500 0.500 0.000
Si1 0.176 0.176 0.500
Si2 0.324 0.676 0.000
Si3 0.676 0.324 0.000
Si4 0.824 0.824 0.500
O1 0.102 0.102 0.293
O2 0.102 0.102 0.707
O3 0.148 0.328 0.500
O4 0.172 0.648 0.000
O5 0.328 0.148 0.500
O6 0.352 0.828 0.000
O7 0.398 0.602 0.207
O8 0.398 0.602 0.793
O9 0.602 0.398 0.207
O10 0.602 0.398 0.793
O11 0.648 0.172 0.000
O12 0.672 0.852 0.500
O13 0.828 0.352 0.000
O14 0.852 0.672 0.500
O15 0.898 0.898 0.293
O16 0.898 0.898 0.707


What is the formula in the sixth record?
Cs4K2CuSi2O8